No. 1
The following is a theoretical powder diffractogram of Sc6AgPd12. It was derived from the PBE geometry in Alexandria, using CuKα.
Kinematic intensities with the Lorentz-polarization factor, no thermal factor.

The 6 most intense peaks (2θ from 10° to 90°), low angle first:
3.164 Å, I 40, hkl 3 -1 1
2.364 Å, I 89, hkl 4 -3 1
2.310 Å, I 58, hkl 0 3 3
2.225 Å, I 100, hkl 4 -1 2
2.213 Å, I 61, hkl 0 1 5
2.159 Å, I 40, hkl 2 1 4

Atomic structure:
Lattice parameters (Å, degrees): 10.0572 10.0572 11.4388 90.00 90.00 120.00
Space group R-3 (No. 148, hexagonal axes)
Unique sites:
1 Sc 0.0145 0.5883 0.2329 [18 per cell]
2 Ag 0.0000 0.0000 0.5000 [3 per cell]
3 Pd 0.0481 0.8613 0.3193 [18 per cell]
4 Pd 0.0594 0.1916 0.9004 [18 per cell]

***

No. 2
The following is a theoretical powder diffractogram of Sc6AgPd5. It was derived from the PBE geometry in Alexandria, using CuKα.
Kinematic intensities with the Lorentz-polarization factor, no thermal factor.

The 6 most intense peaks (2θ from 10° to 90°), low angle first:
3.331 Å, I 22, hkl 0 2 0
2.356 Å, I 100, hkl 2 0 0
1.665 Å, I 11, hkl 2 0 6
1.361 Å, I 22, hkl 3 2 3
1.359 Å, I 11, hkl 1 2 9
1.178 Å, I 8, hkl 4 0 0

Atomic structure:
Lattice parameters (Å, degrees): 4.715 6.670 14.109 90.00 90.00 90.00
Space group Immm (No. 71)
Unique sites:
1 Sc 0.000 0.243 0.000 [4 per cell]
2 Sc 0.000 0.253 0.331 [8 per cell]
3 Ag 0.000 0.000 0.500 [2 per cell]
4 Pd 0.000 0.000 0.168 [4 per cell]
5 Pd 0.000 0.500 0.164 [4 per cell]
6 Pd 0.000 0.500 0.500 [2 per cell]

***

No. 3
The following is a theoretical powder diffractogram of ScAg2Pd. It was derived from the PBE geometry in Alexandria, using CuKα.
Kinematic intensities with the Lorentz-polarization factor, no thermal factor.

The 6 most intense peaks (2θ from 10° to 90°), low angle first:
2.390 Å, I 100, hkl 1 1 1
2.275 Å, I 22, hkl 0 0 2
1.986 Å, I 28, hkl 2 0 0
1.496 Å, I 22, hkl 2 0 2
1.334 Å, I 14, hkl 1 1 3
1.211 Å, I 21, hkl 3 1 1

Atomic structure:
Lattice parameters (Å, degrees): 3.972 3.972 4.549 90.00 90.00 90.00
Space group P4/mmm (No. 123)
Unique sites:
1 Sc 0.000 0.000 0.000 [1 per cell]
2 Ag 0.000 0.500 0.500 [2 per cell]
3 Pd 0.500 0.500 0.000 [1 per cell]

***

No. 4
The following is a theoretical powder diffractogram of ScAgPd. It was derived from the PBE geometry in Alexandria, using CuKα.
Kinematic intensities with the Lorentz-polarization factor, no thermal factor.

The 6 most intense peaks (2θ from 10° to 90°), low angle first:
2.366 Å, I 100, hkl 1 3 1
2.312 Å, I 21, hkl 0 6 0
2.187 Å, I 23, hkl 0 0 2
1.589 Å, I 12, hkl 0 6 2
1.345 Å, I 11, hkl 1 9 1
1.295 Å, I 13, hkl 1 3 3

Atomic structure:
Lattice parameters (Å, degrees): 3.545 13.869 4.375 90.00 90.00 90.00
Space group Cmcm (No. 63)
Unique sites:
1 Sc 0.000 0.089 0.250 [4 per cell]
2 Ag 0.000 0.240 0.750 [4 per cell]
3 Pd 0.000 0.429 0.250 [4 per cell]

***

No. 5
The following is a theoretical powder diffractogram of Sc4AgPd7. It was derived from the PBE geometry in Alexandria, using CuKα.
Kinematic intensities with the Lorentz-polarization factor, no thermal factor.

The 6 most intense peaks (2θ from 10° to 90°), low angle first:
3.499 Å, I 63, hkl 1 1 -2
2.566 Å, I 63, hkl 4 0 -1
2.501 Å, I 100, hkl 0 2 0
2.255 Å, I 70, hkl 3 1 1
2.170 Å, I 47, hkl 1 1 3
1.791 Å, I 43, hkl 4 2 -1

Atomic structure:
Lattice parameters (Å, degrees): 10.587 5.002 9.798 90.00 119.36 90.00
Space group C2/m (No. 12)
Unique sites:
1 Sc 0.092 0.000 0.284 [4 per cell]
2 Sc 0.221 0.500 0.145 [4 per cell]
3 Ag 0.000 0.500 0.500 [2 per cell]
4 Pd 0.000 0.000 0.500 [2 per cell]
5 Pd 0.073 0.500 0.822 [4 per cell]
6 Pd 0.134 0.000 0.022 [4 per cell]
7 Pd 0.211 0.500 0.407 [4 per cell]

***

No. 6
The following is a theoretical powder diffractogram of Sc4Ag2Pd. It was derived from the PBE geometry in Alexandria, using CuKα.
Kinematic intensities with the Lorentz-polarization factor, no thermal factor.

The 6 most intense peaks (2θ from 10° to 90°), low angle first:
7.678 Å, I 28, hkl 0 0 3
3.347 Å, I 23, hkl 1 0 4
2.374 Å, I 100, hkl 1 1 0
2.359 Å, I 98, hkl 0 1 8
1.673 Å, I 32, hkl 2 0 8
1.368 Å, I 31, hkl 1 2 8

Atomic structure:
Lattice parameters (Å, degrees): 4.7483 4.7483 23.0353 90.00 90.00 120.00
Space group R-3m (No. 166, hexagonal axes)
Unique sites:
1 Sc 0.0000 0.0000 0.1230 [6 per cell]
2 Sc 0.0000 0.0000 0.3738 [6 per cell]
3 Ag 0.0000 0.0000 0.2486 [6 per cell]
4 Pd 0.0000 0.0000 0.5000 [3 per cell]

***

No. 7
The following is a theoretical powder diffractogram of Ag3Pd3Se8. It was derived from the PBE geometry in Alexandria, using CuKα.
Kinematic intensities with the Lorentz-polarization factor, no thermal factor.

The 6 most intense peaks (2θ from 10° to 90°), low angle first:
3.864 Å, I 28, hkl 1 0 4
3.296 Å, I 77, hkl 1 1 3
2.733 Å, I 62, hkl 0 2 4
2.104 Å, I 58, hkl 0 2 7
1.932 Å, I 100, hkl 2 2 0
1.116 Å, I 26, hkl 6 0 0

Atomic structure:
Lattice parameters (Å, degrees): 7.7286 7.7286 18.9338 90.00 90.00 120.00
Space group R-3m (No. 166, hexagonal axes)
Unique sites:
1 Ag 0.0000 0.0000 0.0000 [3 per cell]
2 Ag 0.0000 0.0000 0.3770 [6 per cell]
3 Pd 0.0000 0.5000 0.5000 [9 per cell]
4 Se 0.0000 0.0000 0.2355 [6 per cell]
5 Se 0.0325 0.5162 0.7600 [18 per cell]

***

No. 8
The following is a theoretical powder diffractogram of Sm4AgPd2. It was derived from the PBE geometry in Alexandria, using CuKα.
Kinematic intensities with the Lorentz-polarization factor, no thermal factor.

The 6 most intense peaks (2θ from 10° to 90°), low angle first:
3.591 Å, I 10, hkl 1 0 4
2.539 Å, I 100, hkl 1 1 0
1.795 Å, I 17, hkl 2 0 8
1.466 Å, I 26, hkl 1 2 8
1.269 Å, I 11, hkl 2 2 0
1.135 Å, I 15, hkl 3 1 8

Atomic structure:
Lattice parameters (Å, degrees): 5.0753 5.0753 24.9048 90.00 90.00 120.00
Space group R-3m (No. 166, hexagonal axes)
Unique sites:
1 Sm 0.0000 0.0000 0.1217 [6 per cell]
2 Sm 0.0000 0.0000 0.3726 [6 per cell]
3 Ag 0.0000 0.0000 0.5000 [3 per cell]
4 Pd 0.0000 0.0000 0.2522 [6 per cell]

***

- What is the formula in the eighth record?
  Sm4AgPd2

***

- Which formula does entry 4 have?
  ScAgPd